No. 1
Structure and simulated PXRD pattern of MnAs2F12 (a cell relaxed with GGA+U; Cu Kα X-rays).
Intensities are scaled so that the largest is 100.

Principal peaks in the range 15° ≤ 2θ ≤ 90°, sorted by position:
2θ = 19.99°, I 92, hkl 1 1 2; 2θ = 22.81°, I 29, hkl 0 0 4; 2θ = 23.28°, I 100, hkl 2 0 0; 2θ = 26.70°, I 27, hkl 2 1 1; 2θ = 30.97°, I 20, hkl 1 0 5; 2θ = 32.82°, I 30, hkl 2 0 4; 2θ = 39.07°, I 17, hkl 2 1 5; 2θ = 46.00°, I 18, hkl 3 0 5; 2θ = 52.17°, I 20, hkl 3 2 5; 2θ = 59.02°, I 19, hkl 4 2 4

Structural model:
a = 7.6423 Å, b = 7.6423 Å, c = 15.5960 Å
α = 90.00°, β = 90.00°, γ = 90.00°
Space group I-42d (No. 122)
Asymmetric unit:
Mn 0.0000 0.0000 0.0000 [4 per cell]
As 0.0000 0.0000 0.2197 [8 per cell]
F 0.0372 0.6520 0.3839 [16 per cell]
F 0.0407 0.6619 0.5443 [16 per cell]
F 0.0589 0.7303 0.0329 [16 per cell]



No. 2
Structure and simulated PXRD pattern of MnAsN2F (a cell relaxed with GGA+U; Cu Kα X-rays).
Intensities are scaled so that the largest is 100.

Principal peaks in the range 15° ≤ 2θ ≤ 90°, sorted by position:
2θ = 23.29°, I 15, hkl 1 0 0; 2θ = 32.34°, I 100, hkl 1 0 1; 2θ = 33.17°, I 57, hkl 1 1 0; 2θ = 45.13°, I 23, hkl 0 0 2; 2θ = 47.62°, I 39, hkl 2 0 0; 2θ = 57.14°, I 24, hkl 1 1 2; 2θ = 58.74°, I 35, hkl 2 1 1; 2θ = 67.69°, I 24, hkl 2 0 2; 2θ = 69.63°, I 11, hkl 2 2 0; 2θ = 86.92°, I 12, hkl 2 2 2

Structural model:
a = 3.8194 Å, b = 3.8194 Å, c = 4.0183 Å
α = 90.00°, β = 90.00°, γ = 90.00°
Space group P4/mmm (No. 123)
Asymmetric unit:
Mn 0.0000 0.0000 0.0000 [1 per cell]
As 0.5000 0.5000 0.5000 [1 per cell]
N 0.0000 0.5000 0.5000 [2 per cell]
F 0.5000 0.5000 0.0000 [1 per cell]